1.
Structure and simulated powder XRD pattern of Rb2CuSeO4 (the PBE geometry in Alexandria; Cu Kα (weighted mean of Kα1 and Kα2)).
No peak broadening, texture or thermal motion is included.

Crystal structure
a = 11.7504 Å, b = 10.3958 Å, c = 6.7133 Å
α = 83.80°, β = 61.59°, γ = 34.61°
Fractional positions:
Rb: 0.0501 0.0501 0.6999
Rb: 0.3001 0.3001 0.9499
Rb: 0.6999 0.6999 0.0501
Rb: 0.9499 0.9499 0.3001
Cu: 0.1250 0.1250 0.1250
Cu: 0.8750 0.8750 0.8750
Se: 0.3750 0.3750 0.3750
Se: 0.6250 0.6250 0.6250
O: 0.0276 0.6352 0.5446
O: 0.2925 0.5446 0.6352
O: 0.3648 0.9724 0.7075
O: 0.4554 0.7075 0.9724
O: 0.5446 0.2925 0.0276
O: 0.6352 0.0276 0.2925
O: 0.7075 0.4554 0.3648
O: 0.9724 0.3648 0.4554

Main lines, most intense first (2θ from 10° to 90°):
30.44 deg, I 100.0; 22.17 deg, I 39.9; 35.85 deg, I 37.6; 42.62 deg, I 32.6; 52.46 deg, I 29.8; 29.15 deg, I 29.3; 17.69 deg, I 21.6; 16.96 deg, I 15.8



2.
Structure and simulated powder XRD pattern of Tm4SnBi2 (the PBE geometry in Alexandria; Cu Kα (weighted mean of Kα1 and Kα2)).
No peak broadening, texture or thermal motion is included.

Crystal structure
a = 9.6400 Å, b = 8.2953 Å, c = 8.2834 Å
α = 71.11°, β = 54.50°, γ = 54.39°
Fractional positions:
Tm: 0.1236 0.3163 0.3172
Tm: 0.2571 0.6828 0.6837
Tm: 0.3163 0.1236 0.7429
Tm: 0.3172 0.7429 0.1236
Tm: 0.6828 0.2571 0.8764
Tm: 0.6837 0.8764 0.2571
Tm: 0.7429 0.3172 0.3163
Tm: 0.8764 0.6837 0.6828
Sn: 0.3750 0.3750 0.3750
Sn: 0.6250 0.6250 0.6250
Bi: 0.0000 0.0000 0.0000
Bi: 0.0000 0.0000 0.5000
Bi: 0.0000 0.5000 0.0000
Bi: 0.5000 0.0000 0.0000

Main lines, most intense first (2θ from 10° to 90°):
26.15 deg, I 100.0; 29.89 deg, I 98.6; 34.88 deg, I 68.8; 37.31 deg, I 52.2; 44.48 deg, I 32.0; 35.33 deg, I 30.3; 40.12 deg, I 28.8; 44.25 deg, I 26.5